1.
Diffraction record for Al4Ag5. The powder XRD pattern is computed, not measured: it uses DFT lattice parameters and positions (PBE) and Cu Kα (λ = 1.5418 Å).
Intensities are scaled so that the largest is 100.

Crystal structure
```
data_Al4Ag5
_symmetry_space_group_name_H-M 'I m m m'
_symmetry_Int_Tables_number 71
_symmetry_space_group_name_Hall '-I 2 2'
_cell_length_a 3.5653
_cell_length_b 8.6956
_cell_length_c 9.9273
_cell_angle_alpha 90.00
_cell_angle_beta 90.00
_cell_angle_gamma 90.00
loop_
_atom_site_label
_atom_site_type_symbol
_atom_site_fract_x
_atom_site_fract_y
_atom_site_fract_z
Al1 Al 0.0000 0.1731 0.1591
Ag1 Ag 0.0000 0.1656 0.5000
Ag2 Ag 0.0000 0.5000 0.1895
Ag3 Ag 0.0000 0.5000 0.5000
```

Top 8 peaks for 2θ = 15–90°, by angle:
(hkl)	two_theta	d_spacing	I/Imax
1 0 1	26.56	3.355	21.9
1 0 3	37.07	2.425	100.0
1 3 0	40.09	2.249	84.9
0 3 3	41.41	2.180	72.3
2 0 0	51.25	1.783	20.2
2 3 3	67.92	1.380	32.4
1 3 6	70.68	1.333	22.7
1 6 3	76.58	1.244	21.9

***

2.
Diffraction record for Pm2Mg16Sn. The powder XRD pattern is computed, not measured: it uses DFT lattice parameters and positions (PBE) and Cu Kα (λ = 1.5418 Å).
Intensities are scaled so that the largest is 100.

Crystal structure
```
data_Pm2Mg16Sn
_symmetry_space_group_name_H-M 'R 3 m'
_symmetry_Int_Tables_number 160
_symmetry_space_group_name_Hall 'R 3 -2"'
_cell_length_a 10.2743
_cell_length_b 10.2743
_cell_length_c 15.1730
_cell_angle_alpha 90.00
_cell_angle_beta 90.00
_cell_angle_gamma 120.00
loop_
_atom_site_label
_atom_site_type_symbol
_atom_site_fract_x
_atom_site_fract_y
_atom_site_fract_z
Pm1 Pm 0.0000 0.0000 0.0000
Pm2 Pm 0.0000 0.0000 0.3493
Mg1 Mg 0.0000 0.0000 0.5833
Mg2 Mg 0.0030 0.5015 0.1743
Mg3 Mg 0.0043 0.5021 0.8291
Mg4 Mg 0.0233 0.3560 0.3406
Mg5 Mg 0.1741 0.3483 0.8524
Sn1 Sn 0.0000 0.0000 0.7781
```

Top 8 peaks for 2θ = 15–90°, by angle:
(hkl)	two_theta	d_spacing	I/Imax
0 1 2	15.35	5.773	34.9
1 1 0	17.26	5.137	100.0
1 1 3	24.70	3.604	71.2
3 0 0	30.13	2.966	84.5
2 2 0	34.93	2.569	79.2
0 3 3	35.07	2.558	96.9
2 0 5	35.82	2.507	37.8
1 2 5	40.02	2.253	33.5

***

3.
Diffraction record for PmPuSi4. The powder XRD pattern is computed, not measured: it uses DFT lattice parameters and positions (PBE) and Cu Kα (λ = 1.5418 Å).
Intensities are scaled so that the largest is 100.

Crystal structure
```
data_PmPuSi4
_symmetry_space_group_name_H-M 'P m m m'
_symmetry_Int_Tables_number 47
_cell_length_a 4.0452
_cell_length_b 4.0735
_cell_length_c 7.0648
_cell_angle_alpha 90.00
_cell_angle_beta 90.00
_cell_angle_gamma 90.00
loop_
_symmetry_equiv_pos_as_xyz
'x,y,z'
'-x,-y,-z'
'-x,-y,z'
'x,y,-z'
'x,-y,-z'
'-x,y,z'
'-x,y,-z'
'x,-y,z'
loop_
_atom_site_label
_atom_site_type_symbol
_atom_site_fract_x
_atom_site_fract_y
_atom_site_fract_z
Pm1 Pm 0.0000 0.0000 0.0000
Pu1 Pu 0.0000 0.5000 0.5000
Si1 Si 0.5000 0.0000 0.3362
Si2 Si 0.5000 0.5000 0.1690
```

Top 8 peaks for 2θ = 15–90°, by angle:
(hkl)	two_theta	d_spacing	I/Imax
1 0 0	21.97	4.045	16.8
0 0 2	25.23	3.530	55.8
1 1 1	33.70	2.660	100.0
0 2 0	44.45	2.038	30.2
2 0 2	52.12	1.755	16.4
1 2 2	56.94	1.617	15.0
2 2 0	64.96	1.436	19.3
1 3 1	74.95	1.267	20.4

***

4.
Diffraction record for BaNb4O11. The powder XRD pattern is computed, not measured: it uses DFT lattice parameters and positions (PBE) and Cu Kα (λ = 1.5418 Å).
Intensities are scaled so that the largest is 100.

Crystal structure
```
data_BaNb4O11
_symmetry_space_group_name_H-M 'P 63 2 2'
_symmetry_Int_Tables_number 182
_symmetry_space_group_name_Hall 'P 6c 2c'
_cell_length_a 6.4293
_cell_length_b 6.4293
_cell_length_c 12.6274
_cell_angle_alpha 90.00
_cell_angle_beta 90.00
_cell_angle_gamma 120.00
loop_
_atom_site_label
_atom_site_type_symbol
_atom_site_fract_x
_atom_site_fract_y
_atom_site_fract_z
Ba1 Ba 0.3333 0.6667 0.2500
Nb1 Nb 0.0000 0.3521 0.5000
Nb2 Nb 0.3333 0.6667 0.7500
O1 O 0.0000 0.2394 0.0000
O2 O 0.0711 0.4375 0.6519
O3 O 0.3333 0.6667 0.0326
```

Top 8 peaks for 2θ = 15–90°, by angle:
(hkl)	two_theta	d_spacing	I/Imax
1 0 0	15.92	5.568	54.1
1 0 2	21.28	4.176	25.9
0 0 4	28.27	3.157	48.2
1 1 1	28.66	3.115	67.5
1 1 2	31.22	2.865	100.0
3 0 0	49.09	1.856	37.1
1 1 6	51.93	1.761	31.1
3 0 4	57.61	1.600	38.5